The following is a simulated X-ray powder pattern of PuIn4Au4. It was derived from the PBE geometry in Alexandria, using Cu Kα (weighted mean of Kα1 and Kα2).
Neutral-atom scattering factors, no anomalous dispersion.

Atomic structure:
abc: 6.8528 6.8528 9.1875
angles: 90.00 90.00 90.00
Atoms (fractional coordinates):
Pu 0.2500 0.7500 0.2500
Pu 0.7500 0.2500 0.7500
In 0.0185 0.2500 0.1419
In 0.2500 0.0185 0.6419
In 0.2500 0.4815 0.6419
In 0.4815 0.2500 0.1419
In 0.5185 0.7500 0.8581
In 0.7500 0.5185 0.3581
In 0.7500 0.9815 0.3581
In 0.9815 0.7500 0.8581
Au 0.0346 0.2500 0.4456
Au 0.2500 0.0346 0.9456
Au 0.2500 0.4654 0.9456
Au 0.4654 0.2500 0.4456
Au 0.5346 0.7500 0.5544
Au 0.7500 0.5346 0.0544
Au 0.7500 0.9654 0.0544
Au 0.9654 0.7500 0.5544

Peak list (12 most intense, 2θ from 10° to 80°, by angle)
hkl, 2θ (°), I_rel
1 1 2, 26.74, 26
2 0 1, 27.79, 33
2 1 1, 30.75, 100
1 0 3, 32.01, 47
2 2 0, 37.11, 40
2 0 3, 39.46, 49
1 0 4, 41.46, 22
3 1 0, 41.68, 22
2 2 2, 42.17, 31
3 0 3, 49.80, 33
4 0 0, 53.49, 28
4 2 3, 68.47, 20